For BiOF, DFT lattice parameters and positions (PBE) gives the theoretical powder diffraction line list in this record (Cu Ka).
Lines closer than 0.1° are merged.

Top 10 peaks for 2θ from 10° to 90°, in order of falling intensity:
27.00°, rel. 100; 44.65°, rel. 32; 53.42°, rel. 32; 31.52°, rel. 24; 45.18°, rel. 18; 52.49°, rel. 11; 83.03°, rel. 11; 30.80°, rel. 10; 71.71°, rel. 9; 55.67°, rel. 9

Cell and atoms:
abc: 4.014 4.014 5.807
angles: 90.00 90.00 90.00
Fractional positions:
Bi (0.250, 0.250, 0.216)
Bi (0.750, 0.750, 0.784)
O (0.250, 0.750, 0.000)
O (0.750, 0.250, 0.000)
F (0.250, 0.750, 0.500)
F (0.750, 0.250, 0.500)



For CaTiAgP3O12, DFT lattice parameters and positions (PBE) gives the theoretical powder diffraction line list in this record (Cu Ka).
Lines closer than 0.1° are merged.

Top 10 peaks for 2θ from 10° to 90°, in order of falling intensity:
31.81°, rel. 100; 20.06°, rel. 99; 23.52°, rel. 95; 35.11°, rel. 58; 19.95°, rel. 40; 48.11°, rel. 37; 54.87°, rel. 34; 14.11°, rel. 31; 28.44°, rel. 28; 60.95°, rel. 27

Cell and atoms:
abc: 8.901 8.901 8.901
angles: 59.63 59.63 59.63
Fractional positions:
Ca (0.000, 0.000, 0.000)
Ca (0.500, 0.500, 0.500)
Ti (0.153, 0.153, 0.153)
Ti (0.653, 0.653, 0.653)
Ag (0.354, 0.354, 0.354)
Ag (0.854, 0.854, 0.854)
P (0.046, 0.763, 0.455)
P (0.263, 0.546, 0.955)
P (0.455, 0.046, 0.763)
P (0.546, 0.955, 0.263)
P (0.763, 0.455, 0.046)
P (0.955, 0.263, 0.546)
O (0.008, 0.214, 0.375)
O (0.039, 0.802, 0.607)
O (0.052, 0.934, 0.273)
O (0.102, 0.731, 0.930)
O (0.107, 0.302, 0.539)
O (0.214, 0.375, 0.008)
O (0.231, 0.602, 0.430)
O (0.273, 0.052, 0.934)
O (0.302, 0.539, 0.107)
O (0.375, 0.008, 0.214)
O (0.430, 0.231, 0.602)
O (0.434, 0.552, 0.773)
O (0.508, 0.875, 0.714)
O (0.539, 0.107, 0.302)
O (0.552, 0.773, 0.434)
O (0.602, 0.430, 0.231)
O (0.607, 0.039, 0.802)
O (0.714, 0.508, 0.875)
O (0.731, 0.930, 0.102)
O (0.773, 0.434, 0.552)
O (0.802, 0.607, 0.039)
O (0.875, 0.714, 0.508)
O (0.930, 0.102, 0.731)
O (0.934, 0.273, 0.052)